# 1
Structure and calculated XRD peak list of Mg6GaB (DFT lattice parameters and positions (PBE); copper Kα).
Lines closer than 0.1° are merged.

Atomic structure:
```
Mg6GaB
1.0
4.6300 0.0000 0.0000
0.0000 3.2698 5.1068
0.0000 -3.2698 5.1068
Mg Ga B
6 1 1
Cartesian
0.0000 0.0000 0.0000
0.0000 0.0000 5.0587
0.0000 -1.4964 7.4991
0.0000 1.4964 7.4991
2.3150 -1.6038 4.4148
2.3150 1.6038 4.4148
2.3150 0.0000 1.7942
2.3150 0.0000 6.4410
```

Most intense lines, 10° ≤ 2θ ≤ 90°, in order of rising 2θ:
- 5.507 Å, 2θ 16.09, rel. 31
- 3.544 Å, 2θ 25.13, rel. 33
- 2.754 Å, 2θ 32.52, rel. 16
- 2.553 Å, 2θ 35.15, rel. 17
- 2.529 Å, 2θ 35.49, rel. 14
- 2.367 Å, 2θ 38.02, rel. 100
- 2.315 Å, 2θ 38.90, rel. 29
- 2.236 Å, 2θ 40.34, rel. 26
- 1.346 Å, 2θ 69.87, rel. 15
- 1.320 Å, 2θ 71.46, rel. 13

---

# 2
Structure and calculated XRD peak list of Mg14GaB (DFT lattice parameters and positions (PBE); copper Kα).
Lines closer than 0.1° are merged.

Atomic structure:
```
Mg14GaB
1.0
9.8759 0.0000 0.0000
0.0000 3.2320 5.3298
0.0000 -3.2320 5.3298
Mg Ga B
14 1 1
Cartesian
0.0000 0.0000 0.0000
0.0000 -1.6062 2.7387
0.0000 0.0000 5.3272
0.0000 1.6062 2.7387
2.4266 0.0000 7.1835
2.4761 0.0000 1.8626
2.8522 -1.7121 4.5943
2.8522 1.7121 4.5943
4.9380 -1.6641 7.6153
4.9380 1.6641 7.6153
7.0238 -1.7121 4.5943
7.0238 1.7121 4.5943
7.3999 0.0000 1.8626
7.4494 0.0000 7.1835
4.9380 0.0000 5.2876
4.9380 0.0000 0.3515
```

Most intense lines, 10° ≤ 2θ ≤ 90°, in order of rising 2θ:
- 4.823 Å, 2θ 18.39, rel. 14
- 3.682 Å, 2θ 24.17, rel. 11
- 2.764 Å, 2θ 32.40, rel. 16
- 2.665 Å, 2θ 33.63, rel. 18
- 2.469 Å, 2θ 36.39, rel. 28
- 2.412 Å, 2θ 37.29, rel. 100
- 2.345 Å, 2θ 38.38, rel. 28
- 1.811 Å, 2θ 50.38, rel. 10
- 1.557 Å, 2θ 59.36, rel. 11
- 1.414 Å, 2θ 66.07, rel. 12

---

# 3
Structure and calculated XRD peak list of Mg6GaBO8 (DFT lattice parameters and positions (PBE); copper Kα).
Lines closer than 0.1° are merged.

Atomic structure:
```
Mg6GaBO8
1.0
4.2618 0.0000 0.0000
0.0000 4.2618 0.0000
0.0000 0.0000 8.6101
Mg Ga B O
6 1 1 8
Cartesian
0.0000 0.0000 0.0000
0.0000 0.0000 4.3051
0.0000 2.1309 2.0718
0.0000 2.1309 6.5383
2.1309 0.0000 2.0718
2.1309 0.0000 6.5383
2.1309 2.1309 4.3051
2.1309 2.1309 0.0000
0.0000 0.0000 2.1558
0.0000 0.0000 6.4543
0.0000 2.1309 0.0000
0.0000 2.1309 4.3051
2.1309 0.0000 0.0000
2.1309 0.0000 4.3051
2.1309 2.1309 2.3519
2.1309 2.1309 6.2582
```

Most intense lines, 10° ≤ 2θ ≤ 90°, in order of rising 2θ:
- 8.610 Å, 2θ 10.27, rel. 45
- 3.820 Å, 2θ 23.29, rel. 36
- 2.844 Å, 2θ 31.45, rel. 21
- 2.469 Å, 2θ 36.39, rel. 26
- 2.153 Å, 2θ 41.97, rel. 49
- 2.131 Å, 2θ 42.42, rel. 100
- 1.514 Å, 2θ 61.20, rel. 55
- 1.507 Å, 2θ 61.55, rel. 28
- 1.286 Å, 2θ 73.65, rel. 10
- 1.234 Å, 2θ 77.30, rel. 25

---

# 4
Structure and calculated XRD peak list of Mg14GaBO16 (DFT lattice parameters and positions (PBE); copper Kα).
Lines closer than 0.1° are merged.

Atomic structure:
```
Mg14GaBO16
1.0
4.2527 0.0000 0.0000
0.0000 8.5480 0.0000
0.0000 0.0000 8.5518
Mg Ga B O
14 1 1 16
Cartesian
0.0000 0.0000 0.0000
0.0000 2.0870 2.1441
0.0000 2.0870 6.4077
0.0000 4.2740 0.0000
0.0000 6.4610 2.1441
0.0000 6.4610 6.4077
2.1264 0.0000 2.1638
2.1264 0.0000 6.3880
2.1264 2.0734 4.2759
2.1264 2.1157 0.0000
2.1264 4.2740 2.1244
2.1264 4.2740 6.4274
2.1264 6.4323 0.0000
2.1264 6.4747 4.2759
0.0000 4.2740 4.2759
0.0000 0.0000 4.2759
0.0000 0.0000 2.0201
0.0000 0.0000 6.5318
0.0000 2.1748 0.0000
0.0000 2.3532 4.2759
0.0000 4.2740 2.1747
0.0000 4.2740 6.3771
0.0000 6.1949 4.2759
0.0000 6.3732 0.0000
2.1264 0.0000 0.0000
2.1264 0.0000 4.2759
2.1264 2.1408 2.1544
2.1264 2.1408 6.3974
2.1264 4.2740 0.0000
2.1264 4.2740 4.2759
2.1264 6.4072 2.1544
2.1264 6.4072 6.3974
```

Most intense lines, 10° ≤ 2θ ≤ 90°, in order of rising 2θ:
- 8.549 Å, 2θ 10.35, rel. 15
- 6.046 Å, 2θ 14.65, rel. 14
- 3.478 Å, 2θ 25.61, rel. 10
- 2.464 Å, 2θ 36.47, rel. 21
- 2.137 Å, 2θ 42.28, rel. 100
- 2.126 Å, 2θ 42.51, rel. 50
- 1.511 Å, 2θ 61.34, rel. 28
- 1.507 Å, 2θ 61.51, rel. 56
- 1.288 Å, 2θ 73.51, rel. 9
- 1.232 Å, 2θ 77.48, rel. 25

---

Question: What is the formula in the first record?
Answer: Mg6GaB

---

Please write out number 1 again, unchanged.
Structure and calculated XRD peak list of Mg6GaB (DFT lattice parameters and positions (PBE); copper Kα).
Lines closer than 0.1° are merged.

Atomic structure:
```
Mg6GaB
1.0
4.6300 0.0000 0.0000
0.0000 3.2698 5.1068
0.0000 -3.2698 5.1068
Mg Ga B
6 1 1
Cartesian
0.0000 0.0000 0.0000
0.0000 0.0000 5.0587
0.0000 -1.4964 7.4991
0.0000 1.4964 7.4991
2.3150 -1.6038 4.4148
2.3150 1.6038 4.4148
2.3150 0.0000 1.7942
2.3150 0.0000 6.4410
```

Most intense lines, 10° ≤ 2θ ≤ 90°, in order of rising 2θ:
- 5.507 Å, 2θ 16.09, rel. 31
- 3.544 Å, 2θ 25.13, rel. 33
- 2.754 Å, 2θ 32.52, rel. 16
- 2.553 Å, 2θ 35.15, rel. 17
- 2.529 Å, 2θ 35.49, rel. 14
- 2.367 Å, 2θ 38.02, rel. 100
- 2.315 Å, 2θ 38.90, rel. 29
- 2.236 Å, 2θ 40.34, rel. 26
- 1.346 Å, 2θ 69.87, rel. 15
- 1.320 Å, 2θ 71.46, rel. 13